1.
Starting from DFT lattice parameters and positions (PBE+U), the powder diffraction line list of NaCo2O4 was computed for Cu Kα X-rays.

Most intense lines, 2θ from 5° to 70°, low angle first:
2θ/deg, intensity
7.95, 18
15.94, 100
32.19, 11
34.98, 19
36.24, 38
44.20, 50
52.09, 15
56.61, 11
61.91, 18
64.38, 11

Crystal structure
```
NaCo2O4
1.0
1.499 0.865 11.122
-1.499 0.865 11.122
0.000 -1.731 11.122
Na Co O
1 2 4
Direct
0.000 0.000 0.000
0.086 0.086 0.086
0.583 0.583 0.583
0.286 0.286 0.286
0.384 0.384 0.384
0.778 0.778 0.778
0.890 0.890 0.890
```


2.
Starting from DFT lattice parameters and positions (PBE+U), the powder diffraction line list of CoAsO4 was computed for Cu Kα X-rays.

Most intense lines, 2θ from 5° to 70°, low angle first:
2θ/deg, intensity
19.85, 100
22.78, 45
24.81, 25
29.13, 30
30.35, 65
35.04, 93
36.53, 42
37.75, 23
40.46, 23
48.85, 22

Crystal structure
```
CoAsO4
1.0
10.422 0.000 0.000
0.000 5.891 0.000
0.000 0.000 4.951
Co As O
4 4 16
Direct
0.220 0.250 0.071
0.280 0.750 0.571
0.720 0.250 0.429
0.780 0.750 0.929
0.092 0.750 0.090
0.408 0.250 0.590
0.592 0.750 0.410
0.908 0.250 0.910
0.067 0.250 0.840
0.116 0.750 0.749
0.175 0.530 0.257
0.175 0.970 0.257
0.325 0.030 0.757
0.325 0.470 0.757
0.384 0.250 0.249
0.433 0.750 0.340
0.567 0.250 0.660
0.616 0.750 0.751
0.675 0.530 0.243
0.675 0.970 0.243
0.825 0.030 0.743
0.825 0.470 0.743
0.884 0.250 0.251
0.933 0.750 0.160
```


3.
Starting from DFT lattice parameters and positions (PBE+U), the powder diffraction line list of MgFe6O7F5 was computed for Cu Kα X-rays.

Most intense lines, 2θ from 5° to 70°, low angle first:
2θ/deg, intensity
19.80, 18
21.93, 100
27.31, 84
34.47, 20
34.75, 22
35.57, 24
35.99, 19
46.36, 21
53.38, 17
54.41, 17

Crystal structure
```
MgFe6O7F5
1.0
5.190 0.000 0.000
1.119 5.110 0.000
0.485 0.230 8.840
Mg Fe O F
1 6 7 5
Direct
0.000 0.000 0.000
0.067 0.484 0.194
0.106 0.518 0.845
0.514 0.918 0.021
0.551 0.979 0.369
0.556 0.911 0.694
0.930 0.377 0.511
0.219 0.248 0.356
0.220 0.256 0.017
0.309 0.786 0.853
0.718 0.114 0.527
0.796 0.629 0.347
0.844 0.606 0.688
0.866 0.669 0.018
0.247 0.247 0.688
0.274 0.768 0.185
0.367 0.796 0.530
0.726 0.117 0.177
0.727 0.108 0.847
```